Entry 1:
Theoretical X-ray diffraction stick pattern
Compound: NiH8C2O10
Radiation: λ = 1.5418 Å (Cu Kα)
Structure: a cell relaxed with PBE+U

Largest 10 diffraction maxima, in order of falling intensity, 2θ from 10° to 90°:
two_theta  d [Å]  Rel. int.
17.32  5.120  1000
25.09  3.549  735
16.91  5.243  702
15.41  5.751  485
16.22  5.464  325
32.49  2.755  306
21.44  4.144  266
42.90  2.108  181
27.53  3.240  148
28.70  3.111  141

Cell and atoms:
```
NiH8C2O10
1.0
6.280 0.000 0.000
0.000 5.976 0.000
-4.796 0.000 10.929
Ni H C O
2 16 4 20
Cartesian
0.000 0.000 0.000 Ni
-2.398 2.988 5.464 Ni
-3.049 0.868 9.401 H
-0.651 2.120 3.937 H
-0.981 1.131 5.294 H
-3.379 1.857 10.759 H
1.438 4.083 0.771 H
-0.960 4.881 6.235 H
-0.319 3.507 6.748 H
2.079 5.457 1.284 H
-0.594 0.519 9.645 H
1.804 2.469 4.180 H
2.444 1.095 4.693 H
0.046 1.893 10.158 H
4.863 4.119 0.170 H
2.465 4.845 5.634 H
2.136 3.856 6.992 H
4.534 5.108 1.528 H
-1.650 0.924 7.390 C
0.748 2.064 1.926 C
0.737 3.912 9.003 C
3.134 5.052 3.539 C
-3.788 1.273 9.987 O
-1.390 1.715 4.523 O
0.026 1.003 1.644 O
-2.372 1.985 7.108 O
-0.820 3.898 5.962 O
1.578 5.066 0.498 O
-1.803 0.446 8.563 O
0.595 2.542 3.099 O
-0.838 0.407 6.536 O
1.560 2.581 1.072 O
-0.075 3.395 9.857 O
2.323 5.569 4.392 O
0.889 3.434 7.830 O
3.287 5.530 2.365 O
-0.094 0.910 10.431 O
2.304 2.078 4.967 O
3.856 3.991 3.820 O
1.459 4.973 9.285 O
2.874 4.261 6.406 O
5.272 4.703 0.941 O
```


Entry 2:
Theoretical X-ray diffraction stick pattern
Compound: NiH6C2O6
Radiation: λ = 1.5418 Å (Cu Kα)
Structure: a cell relaxed with PBE+U

Largest 10 diffraction maxima, in order of falling intensity, 2θ from 10° to 90°:
two_theta  d [Å]  Rel. int.
18.11  4.900  1000
19.49  4.555  681
19.23  4.615  452
20.58  4.316  335
34.57  2.595  296
33.83  2.649  263
26.24  3.397  196
31.77  2.817  151
36.68  2.450  134
41.00  2.201  118

Cell and atoms:
```
NiH6C2O6
1.0
8.707 0.000 0.000
0.000 7.112 0.000
-1.213 0.000 9.230
Ni H C O
4 24 8 24
Cartesian
0.000 0.000 0.000 Ni
-0.606 3.556 4.615 Ni
3.747 0.000 4.615 Ni
4.354 3.556 0.000 Ni
-0.080 1.040 2.581 H
-0.686 2.516 7.197 H
0.796 0.204 5.586 H
1.402 3.352 0.971 H
1.430 0.666 2.197 H
0.824 2.890 6.812 H
1.754 4.262 4.175 H
1.148 6.406 8.791 H
1.264 0.848 9.152 H
1.870 2.708 4.537 H
2.859 5.039 6.686 H
3.465 5.629 2.070 H
4.029 1.483 7.160 H
4.636 2.073 2.545 H
5.625 4.404 4.693 H
6.231 6.263 0.078 H
6.347 0.706 0.440 H
5.741 2.850 5.055 H
6.671 4.222 2.419 H
6.064 6.446 7.034 H
6.092 3.760 8.260 H
6.698 6.907 3.645 H
8.181 4.596 2.034 H
7.575 6.072 6.649 H
1.473 4.378 0.567 C
0.866 6.290 5.182 C
3.752 1.598 2.090 C
3.146 1.958 6.705 C
4.348 5.154 2.526 C
3.742 5.514 7.141 C
6.628 0.822 4.048 C
6.022 2.734 8.663 C
0.456 5.125 0.703 O
-0.151 5.542 5.318 O
0.517 0.775 1.833 O
-0.089 2.781 6.448 O
0.763 0.194 8.595 O
1.370 3.362 3.980 O
2.571 4.727 0.012 O
1.965 5.940 4.628 O
3.118 0.727 2.762 O
2.512 2.828 7.377 O
2.815 1.600 5.529 O
3.422 1.955 0.914 O
4.073 5.156 8.317 O
4.679 5.511 3.701 O
4.983 4.283 1.853 O
4.376 6.384 6.468 O
5.530 1.171 4.603 O
4.923 2.384 9.218 O
6.125 3.750 5.250 O
6.731 6.918 0.635 O
7.583 4.330 2.783 O
6.977 6.337 7.398 O
7.645 1.569 3.912 O
7.039 1.987 8.527 O
```


Repeat the first record exactly.
Theoretical X-ray diffraction stick pattern
Compound: NiH8C2O10
Radiation: λ = 1.5418 Å (Cu Kα)
Structure: a cell relaxed with PBE+U

Largest 10 diffraction maxima, in order of falling intensity, 2θ from 10° to 90°:
two_theta  d [Å]  Rel. int.
17.32  5.120  1000
25.09  3.549  735
16.91  5.243  702
15.41  5.751  485
16.22  5.464  325
32.49  2.755  306
21.44  4.144  266
42.90  2.108  181
27.53  3.240  148
28.70  3.111  141

Cell and atoms:
```
NiH8C2O10
1.0
6.280 0.000 0.000
0.000 5.976 0.000
-4.796 0.000 10.929
Ni H C O
2 16 4 20
Cartesian
0.000 0.000 0.000 Ni
-2.398 2.988 5.464 Ni
-3.049 0.868 9.401 H
-0.651 2.120 3.937 H
-0.981 1.131 5.294 H
-3.379 1.857 10.759 H
1.438 4.083 0.771 H
-0.960 4.881 6.235 H
-0.319 3.507 6.748 H
2.079 5.457 1.284 H
-0.594 0.519 9.645 H
1.804 2.469 4.180 H
2.444 1.095 4.693 H
0.046 1.893 10.158 H
4.863 4.119 0.170 H
2.465 4.845 5.634 H
2.136 3.856 6.992 H
4.534 5.108 1.528 H
-1.650 0.924 7.390 C
0.748 2.064 1.926 C
0.737 3.912 9.003 C
3.134 5.052 3.539 C
-3.788 1.273 9.987 O
-1.390 1.715 4.523 O
0.026 1.003 1.644 O
-2.372 1.985 7.108 O
-0.820 3.898 5.962 O
1.578 5.066 0.498 O
-1.803 0.446 8.563 O
0.595 2.542 3.099 O
-0.838 0.407 6.536 O
1.560 2.581 1.072 O
-0.075 3.395 9.857 O
2.323 5.569 4.392 O
0.889 3.434 7.830 O
3.287 5.530 2.365 O
-0.094 0.910 10.431 O
2.304 2.078 4.967 O
3.856 3.991 3.820 O
1.459 4.973 9.285 O
2.874 4.261 6.406 O
5.272 4.703 0.941 O
```


Copy entry 1 word for word.
Theoretical X-ray diffraction stick pattern
Compound: NiH8C2O10
Radiation: λ = 1.5418 Å (Cu Kα)
Structure: a cell relaxed with PBE+U

Largest 10 diffraction maxima, in order of falling intensity, 2θ from 10° to 90°:
two_theta  d [Å]  Rel. int.
17.32  5.120  1000
25.09  3.549  735
16.91  5.243  702
15.41  5.751  485
16.22  5.464  325
32.49  2.755  306
21.44  4.144  266
42.90  2.108  181
27.53  3.240  148
28.70  3.111  141

Cell and atoms:
```
NiH8C2O10
1.0
6.280 0.000 0.000
0.000 5.976 0.000
-4.796 0.000 10.929
Ni H C O
2 16 4 20
Cartesian
0.000 0.000 0.000 Ni
-2.398 2.988 5.464 Ni
-3.049 0.868 9.401 H
-0.651 2.120 3.937 H
-0.981 1.131 5.294 H
-3.379 1.857 10.759 H
1.438 4.083 0.771 H
-0.960 4.881 6.235 H
-0.319 3.507 6.748 H
2.079 5.457 1.284 H
-0.594 0.519 9.645 H
1.804 2.469 4.180 H
2.444 1.095 4.693 H
0.046 1.893 10.158 H
4.863 4.119 0.170 H
2.465 4.845 5.634 H
2.136 3.856 6.992 H
4.534 5.108 1.528 H
-1.650 0.924 7.390 C
0.748 2.064 1.926 C
0.737 3.912 9.003 C
3.134 5.052 3.539 C
-3.788 1.273 9.987 O
-1.390 1.715 4.523 O
0.026 1.003 1.644 O
-2.372 1.985 7.108 O
-0.820 3.898 5.962 O
1.578 5.066 0.498 O
-1.803 0.446 8.563 O
0.595 2.542 3.099 O
-0.838 0.407 6.536 O
1.560 2.581 1.072 O
-0.075 3.395 9.857 O
2.323 5.569 4.392 O
0.889 3.434 7.830 O
3.287 5.530 2.365 O
-0.094 0.910 10.431 O
2.304 2.078 4.967 O
3.856 3.991 3.820 O
1.459 4.973 9.285 O
2.874 4.261 6.406 O
5.272 4.703 0.941 O
```


Please write out number 1 again, unchanged.
Theoretical X-ray diffraction stick pattern
Compound: NiH8C2O10
Radiation: λ = 1.5418 Å (Cu Kα)
Structure: a cell relaxed with PBE+U

Largest 10 diffraction maxima, in order of falling intensity, 2θ from 10° to 90°:
two_theta  d [Å]  Rel. int.
17.32  5.120  1000
25.09  3.549  735
16.91  5.243  702
15.41  5.751  485
16.22  5.464  325
32.49  2.755  306
21.44  4.144  266
42.90  2.108  181
27.53  3.240  148
28.70  3.111  141

Cell and atoms:
```
NiH8C2O10
1.0
6.280 0.000 0.000
0.000 5.976 0.000
-4.796 0.000 10.929
Ni H C O
2 16 4 20
Cartesian
0.000 0.000 0.000 Ni
-2.398 2.988 5.464 Ni
-3.049 0.868 9.401 H
-0.651 2.120 3.937 H
-0.981 1.131 5.294 H
-3.379 1.857 10.759 H
1.438 4.083 0.771 H
-0.960 4.881 6.235 H
-0.319 3.507 6.748 H
2.079 5.457 1.284 H
-0.594 0.519 9.645 H
1.804 2.469 4.180 H
2.444 1.095 4.693 H
0.046 1.893 10.158 H
4.863 4.119 0.170 H
2.465 4.845 5.634 H
2.136 3.856 6.992 H
4.534 5.108 1.528 H
-1.650 0.924 7.390 C
0.748 2.064 1.926 C
0.737 3.912 9.003 C
3.134 5.052 3.539 C
-3.788 1.273 9.987 O
-1.390 1.715 4.523 O
0.026 1.003 1.644 O
-2.372 1.985 7.108 O
-0.820 3.898 5.962 O
1.578 5.066 0.498 O
-1.803 0.446 8.563 O
0.595 2.542 3.099 O
-0.838 0.407 6.536 O
1.560 2.581 1.072 O
-0.075 3.395 9.857 O
2.323 5.569 4.392 O
0.889 3.434 7.830 O
3.287 5.530 2.365 O
-0.094 0.910 10.431 O
2.304 2.078 4.967 O
3.856 3.991 3.820 O
1.459 4.973 9.285 O
2.874 4.261 6.406 O
5.272 4.703 0.941 O
```